# 1
Calculated powder XRD pattern of Lu2FeB6 for Cu Kα, 1.54184 Å, from a structure optimized by DFT (PBE).

Crystal structure
Cell lengths 8.961, 11.316, 3.474 Å; angles 90.00, 90.00, 90.00 degrees
Fractional positions:
Lu1 0.057 0.129 0.000
Lu2 0.177 0.415 0.000
Lu3 0.323 0.915 0.000
Lu4 0.443 0.629 0.000
Lu5 0.557 0.371 0.000
Lu6 0.677 0.085 0.000
Lu7 0.823 0.585 0.000
Lu8 0.943 0.871 0.000
Fe1 0.138 0.680 0.000
Fe2 0.362 0.180 0.000
Fe3 0.638 0.820 0.000
Fe4 0.862 0.320 0.000
B1 0.016 0.288 0.500
B2 0.054 0.567 0.500
B3 0.107 0.971 0.500
B4 0.132 0.815 0.500
B5 0.210 0.234 0.500
B6 0.247 0.581 0.500
B7 0.253 0.081 0.500
B8 0.290 0.734 0.500
B9 0.368 0.315 0.500
B10 0.393 0.471 0.500
B11 0.446 0.067 0.500
B12 0.484 0.788 0.500
B13 0.516 0.212 0.500
B14 0.554 0.933 0.500
B15 0.607 0.529 0.500
B16 0.632 0.685 0.500
B17 0.710 0.266 0.500
B18 0.747 0.919 0.500
B19 0.753 0.419 0.500
B20 0.790 0.766 0.500
B21 0.868 0.185 0.500
B22 0.893 0.029 0.500
B23 0.946 0.433 0.500
B24 0.984 0.712 0.500

The 10 most intense peaks (15 to 90 degrees two-theta), by intensity:
| 2θ (°) | d [Å] | I/Imax |
| --- | --- | --- |
| 25.64 | 3.474 | 100 |
| 40.63 | 2.220 | 98 |
| 30.98 | 2.887 | 83 |
| 41.15 | 2.194 | 38 |
| 43.02 | 2.103 | 34 |
| 31.63 | 2.829 | 30 |
| 42.42 | 2.131 | 28 |
| 33.94 | 2.642 | 27 |
| 52.69 | 1.737 | 24 |
| 62.39 | 1.488 | 23 |

=====

# 2
Calculated powder XRD pattern of Cd6Hg23Pb for Cu Kα, 1.54184 Å, from a structure optimized by DFT (PBE).

Crystal structure
Cell lengths 8.475, 10.524, 10.568 Å; angles 110.79, 112.05, 91.16 degrees
Fractional positions:
Cd1 0.245 0.242 0.499
Cd2 0.247 0.755 0.500
Cd3 0.250 0.247 0.999
Cd4 0.750 0.753 0.001
Cd5 0.753 0.245 0.500
Cd6 0.755 0.758 0.501
Hg1 0.000 0.000 0.000
Hg2 0.000 0.000 0.500
Hg3 0.000 0.500 0.000
Hg4 0.000 0.500 0.500
Hg5 0.106 0.363 0.232
Hg6 0.123 0.370 0.746
Hg7 0.128 0.863 0.231
Hg8 0.130 0.867 0.758
Hg9 0.371 0.635 0.244
Hg10 0.371 0.637 0.771
Hg11 0.376 0.130 0.254
Hg12 0.391 0.133 0.765
Hg13 0.500 0.000 0.000
Hg14 0.500 0.000 0.500
Hg15 0.500 0.500 0.000
Hg16 0.609 0.867 0.235
Hg17 0.624 0.870 0.746
Hg18 0.629 0.363 0.229
Hg19 0.629 0.365 0.756
Hg20 0.870 0.133 0.242
Hg21 0.872 0.137 0.769
Hg22 0.877 0.630 0.254
Hg23 0.894 0.637 0.768
Pb1 0.500 0.500 0.500

The 10 most intense peaks (15 to 90 degrees two-theta), by intensity:
| 2θ (°) | d [Å] | I/Imax |
| --- | --- | --- |
| 32.10 | 2.788 | 100 |
| 34.52 | 2.598 | 42 |
| 34.87 | 2.573 | 40 |
| 35.89 | 2.502 | 37 |
| 40.01 | 2.254 | 27 |
| 42.70 | 2.118 | 23 |
| 49.20 | 1.852 | 15 |
| 67.14 | 1.394 | 11 |
| 55.32 | 1.661 | 11 |
| 56.72 | 1.623 | 10 |

=====

# 3
Calculated powder XRD pattern of TiTe5 for Cu Kα, 1.54184 Å, from a structure optimized by DFT (PBE).

Crystal structure
Cell lengths 7.275, 7.275, 9.172 Å; angles 125.22, 125.22, 31.10 degrees
Fractional positions:
Ti1 0.000 0.000 0.000
Te1 0.059 0.059 0.751
Te2 0.371 0.371 0.707
Te3 0.503 0.503 0.234
Te4 0.686 0.686 0.185
Te5 0.759 0.759 0.923

The 10 most intense peaks (15 to 90 degrees two-theta), by intensity:
| 2θ (°) | d [Å] | I/Imax |
| --- | --- | --- |
| 29.17 | 3.061 | 100 |
| 30.87 | 2.896 | 65 |
| 24.21 | 3.676 | 58 |
| 33.18 | 2.700 | 54 |
| 41.69 | 2.166 | 46 |
| 29.92 | 2.987 | 45 |
| 46.57 | 1.950 | 31 |
| 31.52 | 2.838 | 30 |
| 38.79 | 2.322 | 29 |
| 19.40 | 4.575 | 25 |

=====

# 4
Calculated powder XRD pattern of NaCuCl2F for Cu Kα, 1.54184 Å, from a structure optimized by DFT (PBE).

Crystal structure
Cell lengths 6.219, 6.219, 6.219 Å; angles 113.57, 113.57, 101.55 degrees
Fractional positions:
Na1 0.250 0.750 0.500
Na2 0.750 0.250 0.500
Cu1 0.000 0.000 0.000
Cu2 0.500 0.500 0.000
Cl1 0.209 0.709 0.919
Cl2 0.291 0.209 0.500
Cl3 0.709 0.791 0.500
Cl4 0.791 0.291 0.081
F1 0.250 0.250 0.000
F2 0.750 0.750 0.000

The 10 most intense peaks (15 to 90 degrees two-theta), by intensity:
| 2θ (°) | d [Å] | I/Imax |
| --- | --- | --- |
| 37.33 | 2.409 | 100 |
| 18.42 | 4.818 | 79 |
| 22.61 | 3.933 | 66 |
| 29.32 | 3.047 | 66 |
| 60.81 | 1.523 | 51 |
| 48.16 | 1.890 | 51 |
| 53.82 | 1.703 | 32 |
| 46.16 | 1.966 | 31 |
| 41.93 | 2.154 | 30 |
| 44.09 | 2.054 | 27 |